# 1
Sr2FeSO3: theoretical powder XRD pattern (Cu Kα X-rays), based on a DFT-relaxed cell (GGA+U, the Materials Project).
Kinematic intensities with the Lorentz-polarization factor, no thermal factor.

Peak list (8 most intense, 10° ≤ 2θ ≤ 80°, by angle)
two_theta, I (rel.)
12.21, 41
28.95, 32
31.59, 100
33.34, 90
40.42, 32
43.72, 29
45.29, 56
57.38, 37

Structure:
Unit cell a=4.0050 b=4.0050 c=14.5008 alpha=90.00 beta=90.00 gamma=90.00
Space group P4/nmm (No. 129, origin choice 2)
Unique sites:
Sr 0.2500 0.2500 0.0927 [2 per cell]
Sr 0.2500 0.2500 0.3383 [2 per cell]
Fe 0.2500 0.2500 0.7920 [2 per cell]
S 0.2500 0.2500 0.6105 [2 per cell]
O 0.2500 0.2500 0.9246 [2 per cell]
O 0.2500 0.7500 0.2159 [4 per cell]

# 2
FeSb2O4: theoretical powder XRD pattern (Cu Kα X-rays), based on a DFT-relaxed cell (GGA+U, the Materials Project).
Kinematic intensities with the Lorentz-polarization factor, no thermal factor.

Peak list (8 most intense, 10° ≤ 2θ ≤ 80°, by angle)
two_theta, I (rel.)
21.63, 72
26.50, 100
34.25, 57
34.36, 43
34.67, 42
37.74, 72
49.23, 36
59.32, 32

Structure:
Unit cell a=8.2785 b=8.2785 c=5.7679 alpha=90.00 beta=90.00 gamma=90.00
Space group P4_2/m (No. 84)
Unique sites:
Fe 0.0000 0.5000 0.2338 [4 per cell]
Sb 0.0545 0.8288 0.5000 [4 per cell]
Sb 0.3115 0.4097 0.0000 [4 per cell]
O 0.1249 0.5945 0.5000 [4 per cell]
O 0.1345 0.5873 0.0000 [4 per cell]
O 0.1451 0.3039 0.2325 [8 per cell]